1.
For GdLuTlCd, a GGA-PBE-relaxed structure gives the calculated powder X-ray diffraction pattern in this record (a wavelength of 1.5418 Å).
No peak broadening, texture or thermal motion is included.

Crystal structure
a = 7.4974 Å, b = 7.4974 Å, c = 7.4974 Å
α = 90.00°, β = 90.00°, γ = 90.00°
Space group F-43m (No. 216)
Unique sites:
Gd: 0.0000 0.0000 0.0000 (multiplicity 4)
Lu: 0.0000 0.0000 0.5000 (multiplicity 4)
Tl: 0.2500 0.2500 0.2500 (multiplicity 4)
Cd: 0.2500 0.2500 0.7500 (multiplicity 4)

Main lines, by angle (10° ≤ 2θ ≤ 80°):
Position (°2θ), d/Å, intensity
20.52, 4.329, 40
33.82, 2.651, 1000
39.88, 2.261, 24
48.57, 1.874, 181
60.50, 1.530, 376
71.14, 1.325, 116

2.
For AlFe2HRh, a GGA-PBE-relaxed structure gives the calculated powder X-ray diffraction pattern in this record (a wavelength of 1.5418 Å).
No peak broadening, texture or thermal motion is included.

Crystal structure
a = 3.6345 Å, b = 3.6345 Å, c = 4.0715 Å
α = 90.00°, β = 90.00°, γ = 90.00°
Space group P4/mmm (No. 123)
Unique sites:
Al: 0.0000 0.0000 0.0000 (multiplicity 1)
Fe: 0.0000 0.5000 0.5000 (multiplicity 2)
H: 0.5000 0.5000 0.5000 (multiplicity 1)
Rh: 0.5000 0.5000 0.0000 (multiplicity 1)

Main lines, by angle (10° ≤ 2θ ≤ 80°):
Position (°2θ), d/Å, intensity
24.49, 3.634, 215
33.04, 2.711, 183
41.55, 2.173, 1000
44.51, 2.036, 208
50.20, 1.817, 286
69.31, 1.356, 206

3.
For Ce2PtCl2, a GGA-PBE-relaxed structure gives the calculated powder X-ray diffraction pattern in this record (a wavelength of 1.5418 Å).
No peak broadening, texture or thermal motion is included.

Crystal structure
a = 4.1237 Å, b = 4.1237 Å, c = 30.3757 Å
α = 90.00°, β = 90.00°, γ = 120.00°
Space group R-3m (No. 166, hexagonal axes)
Unique sites:
Ce: 0.0000 0.0000 0.1118 (multiplicity 6)
Pt: 0.0000 0.0000 0.5000 (multiplicity 3)
Cl: 0.0000 0.0000 0.2781 (multiplicity 6)

Main lines, by angle (10° ≤ 2θ ≤ 80°):
Position (°2θ), d/Å, intensity
29.00, 3.079, 1000
34.48, 2.601, 439
38.92, 2.314, 297
43.91, 2.062, 364
44.86, 2.020, 214
46.44, 1.955, 277

4.
For Na3I2, a GGA-PBE-relaxed structure gives the calculated powder X-ray diffraction pattern in this record (a wavelength of 1.5418 Å).
No peak broadening, texture or thermal motion is included.

Crystal structure
a = 7.9548 Å, b = 7.9548 Å, c = 23.4810 Å
α = 90.00°, β = 90.00°, γ = 120.00°
Space group R-3c (No. 167, hexagonal axes)
Unique sites:
Na: 0.0000 0.3208 0.2500 (multiplicity 18)
I: 0.0000 0.0000 0.1579 (multiplicity 12)

Main lines, by angle (10° ≤ 2θ ≤ 80°):
Position (°2θ), d/Å, intensity
14.91, 5.942, 471
19.87, 4.468, 618
22.35, 3.977, 769
32.09, 2.790, 1000
39.23, 2.296, 398
51.55, 1.773, 254